[1]
The following is a theoretical powder diffraction line list of Y2Si2Rh5Pb. It was derived from a structure optimized by DFT (PBE), using Cu Kα, 1.54184 Å.
Lines closer than 0.1° are merged.

Most intense lines, 2θ from 15° to 90°, in order of rising 2θ:
- 2θ 32.27, rel. 30
- 2θ 36.01, rel. 40
- 2θ 37.58, rel. 37
- 2θ 38.32, rel. 100
- 2θ 40.90, rel. 37
- 2θ 41.59, rel. 24
- 2θ 51.21, rel. 20
- 2θ 62.15, rel. 16
- 2θ 67.52, rel. 17
- 2θ 72.77, rel. 19

Structural model:
a b c (Å): 9.868 9.868 3.568
angles (deg): 90.00 90.00 90.00
Atoms (fractional coordinates):
Y 0.176 0.324 0.000
Y 0.324 0.824 0.000
Y 0.676 0.176 0.000
Y 0.824 0.676 0.000
Si 0.120 0.620 0.000
Si 0.380 0.120 0.000
Si 0.620 0.880 0.000
Si 0.880 0.380 0.000
Rh 0.000 0.500 0.500
Rh 0.070 0.779 0.500
Rh 0.221 0.070 0.500
Rh 0.279 0.570 0.500
Rh 0.430 0.279 0.500
Rh 0.500 0.000 0.500
Rh 0.570 0.721 0.500
Rh 0.721 0.430 0.500
Rh 0.779 0.930 0.500
Rh 0.930 0.221 0.500
Pb 0.000 0.000 0.000
Pb 0.500 0.500 0.000

---

[2]
The following is a theoretical powder diffraction line list of Sm3Rh4Pb4. It was derived from a structure optimized by DFT (PBE), using Cu Kα, 1.54184 Å.
Lines closer than 0.1° are merged.

Most intense lines, 2θ from 15° to 90°, in order of rising 2θ:
- 2θ 28.22, rel. 26
- 2θ 29.93, rel. 26
- 2θ 32.32, rel. 100
- 2θ 33.83, rel. 74
- 2θ 36.11, rel. 46
- 2θ 37.40, rel. 46
- 2θ 40.42, rel. 36
- 2θ 46.34, rel. 32
- 2θ 61.00, rel. 22
- 2θ 66.85, rel. 23

Structural model:
a b c (Å): 9.202 9.202 9.202
angles (deg): 155.42 127.96 58.37
Atoms (fractional coordinates):
Sm 0.000 0.000 0.000
Sm 0.391 0.891 0.500
Sm 0.609 0.109 0.500
Rh 0.234 0.234 0.000
Rh 0.302 0.500 0.802
Rh 0.698 0.500 0.198
Rh 0.766 0.766 0.000
Pb 0.035 0.334 0.701
Pb 0.367 0.666 0.701
Pb 0.633 0.334 0.299
Pb 0.965 0.666 0.299

---

[3]
The following is a theoretical powder diffraction line list of Sm4RhPb2. It was derived from a structure optimized by DFT (PBE), using Cu Kα, 1.54184 Å.
Lines closer than 0.1° are merged.

Most intense lines, 2θ from 15° to 90°, in order of rising 2θ:
- 2θ 26.15, rel. 31
- 2θ 26.98, rel. 22
- 2θ 29.33, rel. 30
- 2θ 30.02, rel. 60
- 2θ 32.02, rel. 50
- 2θ 32.23, rel. 100
- 2θ 32.94, rel. 56
- 2θ 35.82, rel. 49
- 2θ 37.36, rel. 23
- 2θ 53.79, rel. 26

Structural model:
a b c (Å): 6.837 6.817 9.331
angles (deg): 90.00 104.79 90.00
Atoms (fractional coordinates):
Sm 0.185 0.250 0.105
Sm 0.244 0.750 0.374
Sm 0.308 0.005 0.748
Sm 0.308 0.495 0.748
Sm 0.692 0.505 0.252
Sm 0.692 0.995 0.252
Sm 0.756 0.250 0.626
Sm 0.815 0.750 0.895
Rh 0.465 0.250 0.379
Rh 0.535 0.750 0.621
Pb 0.094 0.250 0.436
Pb 0.308 0.750 0.044
Pb 0.692 0.250 0.956
Pb 0.906 0.750 0.564

---

Question: Which formula does entry 3 have?
Answer: Sm4RhPb2